Structure and calculated X-ray diffraction stick pattern of Sr2Zn15Au2 (a structure optimized by DFT (GGA-PBE); copper Kα).
No peak broadening, texture or thermal motion is included.

Principal peaks in the range 15 to 90 degrees two-theta, in order of falling intensity:
| 2theta | I (rel.) |
| --- | --- |
| 39.01 | 100 |
| 44.04 | 85 |
| 39.93 | 74 |
| 33.62 | 66 |
| 34.69 | 61 |
| 39.23 | 52 |
| 40.17 | 40 |
| 71.98 | 33 |
| 70.67 | 30 |
| 57.06 | 29 |

Structural model:
```
Sr2Zn15Au2
1.0
4.6178 2.6661 4.5208
-4.6178 2.6661 4.5208
0.0000 -5.3322 4.5208
Sr Zn Au
2 15 2
Direct
0.1582 0.1582 0.1582
0.8418 0.8418 0.8418
0.0000 0.5000 0.5000
0.1533 0.1533 0.6578
0.1533 0.6578 0.1533
0.2113 0.5000 0.7887
0.2113 0.7887 0.5000
0.3422 0.8467 0.8467
0.5000 0.0000 0.5000
0.5000 0.2113 0.7887
0.5000 0.5000 0.0000
0.5000 0.7887 0.2113
0.6578 0.1533 0.1533
0.7887 0.2113 0.5000
0.7887 0.5000 0.2113
0.8467 0.3422 0.8467
0.8467 0.8467 0.3422
0.3914 0.3914 0.3914
0.6086 0.6086 0.6086
```

=====

Structure and calculated X-ray diffraction stick pattern of K2SmBr6 (a structure optimized by DFT (GGA-PBE); copper Kα).
No peak broadening, texture or thermal motion is included.

Principal peaks in the range 15 to 90 degrees two-theta, in order of falling intensity:
| 2theta | I (rel.) |
| --- | --- |
| 28.54 | 100 |
| 31.03 | 61 |
| 37.55 | 47 |
| 36.33 | 34 |
| 39.45 | 27 |
| 37.68 | 24 |
| 54.70 | 20 |
| 31.81 | 20 |
| 36.15 | 17 |
| 57.63 | 17 |

Structural model:
```
K2SmBr6
1.0
4.5685 0.0000 0.0000
0.0000 7.4550 4.2759
0.0000 -7.4550 4.2759
K Sm Br
2 1 6
Direct
0.0000 0.1676 0.8324
0.0000 0.8324 0.1676
0.5000 0.5029 0.5029
0.0000 0.2631 0.5005
0.0000 0.5005 0.2631
0.0000 0.7415 0.7415
0.5000 0.1449 0.1449
0.5000 0.5004 0.8585
0.5000 0.8585 0.5004
```